# Ac3CePt8
Theoretical powder diffractogram, Cu Ka. Input: a DFT-relaxed cell (GGA-PBE, Alexandria).
No peak broadening, texture or thermal motion is included.

Peak list (10 most intense, 2θ = 10–90°, sorted by position)
- d = 2.811 Å, 2θ 31.83, I = 28
- d = 2.397 Å, 2θ 37.51, I = 100
- d = 2.295 Å, 2θ 39.25, I = 39
- d = 1.988 Å, 2θ 45.64, I = 4
- d = 1.623 Å, 2θ 56.71, I = 11
- d = 1.530 Å, 2θ 60.50, I = 34
- d = 1.406 Å, 2θ 66.52, I = 29
- d = 1.257 Å, 2θ 75.64, I = 5
- d = 1.213 Å, 2θ 78.95, I = 12
- d = 1.199 Å, 2θ 80.05, I = 15

Structure:
Unit cell a=9.7420 b=9.7420 c=9.7420 alpha=33.54 beta=33.54 gamma=33.54
Atoms (fractional coordinates):
Ac 0.0000 0.0000 0.0000
Ac 0.1260 0.1260 0.1260
Ac 0.6219 0.6219 0.6219
Ce 0.4979 0.4979 0.4979
Pt 0.0608 0.0608 0.5606
Pt 0.0608 0.5606 0.0608
Pt 0.0640 0.5624 0.5624
Pt 0.3118 0.3118 0.3118
Pt 0.5606 0.0608 0.0608
Pt 0.5624 0.0640 0.5624
Pt 0.5624 0.5624 0.0640
Pt 0.8120 0.8120 0.8120